Record 1
Starting from a structure optimized by DFT (GGA-PBE), the powder diffractogram of La3Sm5Ho4 was simulated for copper Kα.
Neutral-atom scattering factors, no anomalous dispersion.

Top 6 peaks for 15 to 90 degrees two-theta, most intense first:
Position (°2θ)  I_rel
29.73  100
32.14  73
31.34  54
33.38  52
29.10  45
28.68  35

Structure:
```
data_La3Sm5Ho4
_cell_length_a 8.693
_cell_length_b 8.693
_cell_length_c 9.361
_cell_angle_alpha 114.81
_cell_angle_beta 114.81
_cell_angle_gamma 40.45
_space_group_name_H-M_alt 'P 1'
_space_group_IT_number 1
_space_group_name_Hall 'P 1'
loop_
_atom_site_label
_atom_site_type_symbol
_atom_site_fract_x
_atom_site_fract_y
_atom_site_fract_z
_atom_site_occupancy
La1 La 0.000 0.000 0.000 1
La2 La 0.294 0.294 0.779 1
La3 La 0.706 0.706 0.221 1
Sm1 Sm 0.076 0.076 0.699 1
Sm2 Sm 0.173 0.173 0.394 1
Sm3 Sm 0.500 0.500 0.000 1
Sm4 Sm 0.827 0.827 0.606 1
Sm5 Sm 0.924 0.924 0.301 1
Ho1 Ho 0.292 0.292 0.131 1
Ho2 Ho 0.420 0.420 0.562 1
Ho3 Ho 0.580 0.580 0.438 1
Ho4 Ho 0.708 0.708 0.869 1
```


Record 2
Starting from a structure optimized by DFT (GGA-PBE), the powder diffractogram of La3Sm3Ho8 was simulated for copper Kα.
Neutral-atom scattering factors, no anomalous dispersion.

Top 6 peaks for 15 to 90 degrees two-theta, most intense first:
Position (°2θ)  I_rel
31.56  100
33.22  59
31.35  53
30.33  33
29.29  31
44.18  23

Structure:
```
data_La3Sm3Ho8
_cell_length_a 9.798
_cell_length_b 9.798
_cell_length_c 9.798
_cell_angle_alpha 146.14
_cell_angle_beta 112.86
_cell_angle_gamma 77.36
_space_group_name_H-M_alt 'P 1'
_space_group_IT_number 1
_space_group_name_Hall 'P 1'
loop_
_atom_site_label
_atom_site_type_symbol
_atom_site_fract_x
_atom_site_fract_y
_atom_site_fract_z
_atom_site_occupancy
La1 La 0.000 0.000 0.000 1
La2 La 0.187 0.687 0.500 1
La3 La 0.813 0.313 0.500 1
Sm1 Sm 0.201 0.500 0.701 1
Sm2 Sm 0.500 0.500 0.000 1
Sm3 Sm 0.799 0.500 0.299 1
Ho1 Ho 0.119 0.281 0.838 1
Ho2 Ho 0.239 0.898 0.341 1
Ho3 Ho 0.443 0.102 0.341 1
Ho4 Ho 0.443 0.281 0.162 1
Ho5 Ho 0.557 0.719 0.838 1
Ho6 Ho 0.557 0.898 0.659 1
Ho7 Ho 0.761 0.102 0.659 1
Ho8 Ho 0.881 0.719 0.162 1
```


Record 3
Starting from a structure optimized by DFT (GGA-PBE), the powder diffractogram of La4Sm3Ho4 was simulated for copper Kα.
Neutral-atom scattering factors, no anomalous dispersion.

Top 6 peaks for 15 to 90 degrees two-theta, most intense first:
Position (°2θ)  I_rel
30.12  100
34.86  34
50.25  30
35.03  17
59.53  14
59.82  14

Structure:
```
data_La4Sm3Ho4
_cell_length_a 20.222
_cell_length_b 20.222
_cell_length_c 20.222
_cell_angle_alpha 169.65
_cell_angle_beta 165.44
_cell_angle_gamma 17.89
_space_group_name_H-M_alt 'P 1'
_space_group_IT_number 1
_space_group_name_Hall 'P 1'
loop_
_atom_site_label
_atom_site_type_symbol
_atom_site_fract_x
_atom_site_fract_y
_atom_site_fract_z
_atom_site_occupancy
La1 La 0.046 0.046 0.000 1
La2 La 0.317 0.317 0.000 1
La3 La 0.683 0.683 0.000 1
La4 La 0.954 0.954 0.000 1
Sm1 Sm 0.136 0.136 0.000 1
Sm2 Sm 0.500 0.500 0.000 1
Sm3 Sm 0.864 0.864 0.000 1
Ho1 Ho 0.228 0.228 0.000 1
Ho2 Ho 0.408 0.408 0.000 1
Ho3 Ho 0.592 0.592 0.000 1
Ho4 Ho 0.772 0.772 0.000 1
```


Record 4
Starting from a structure optimized by DFT (GGA-PBE), the powder diffractogram of La2Sm4Ho was simulated for copper Kα.
Neutral-atom scattering factors, no anomalous dispersion.

Top 6 peaks for 15 to 90 degrees two-theta, most intense first:
Position (°2θ)  I_rel
31.37  100
36.78  65
29.74  58
29.84  57
29.98  56
48.15  30

Structure:
```
data_La2Sm4Ho
_cell_length_a 7.643
_cell_length_b 7.643
_cell_length_c 9.408
_cell_angle_alpha 106.54
_cell_angle_beta 106.54
_cell_angle_gamma 102.53
_space_group_name_H-M_alt 'P 1'
_space_group_IT_number 1
_space_group_name_Hall 'P 1'
loop_
_atom_site_label
_atom_site_type_symbol
_atom_site_fract_x
_atom_site_fract_y
_atom_site_fract_z
_atom_site_occupancy
La1 La 0.120 0.880 0.500 1
La2 La 0.583 0.845 0.568 1
La3 La 0.845 0.583 0.068 1
La4 La 0.880 0.120 0.000 1
Sm1 Sm 0.162 0.404 0.428 1
Sm2 Sm 0.310 0.549 0.144 1
Sm3 Sm 0.404 0.162 0.928 1
Sm4 Sm 0.438 0.698 0.860 1
Sm5 Sm 0.549 0.310 0.644 1
Sm6 Sm 0.698 0.438 0.360 1
Sm7 Sm 0.731 0.981 0.283 1
Sm8 Sm 0.981 0.731 0.783 1
Ho1 Ho 0.014 0.277 0.714 1
Ho2 Ho 0.277 0.014 0.214 1
```


Record 5
Starting from a structure optimized by DFT (GGA-PBE), the powder diffractogram of LaSm7Ho2 was simulated for copper Kα.
Neutral-atom scattering factors, no anomalous dispersion.

Top 6 peaks for 15 to 90 degrees two-theta, most intense first:
Position (°2θ)  I_rel
30.23  100
35.05  51
50.39  24
59.95  22
59.85  18
50.45  12

Structure:
```
data_LaSm7Ho2
_cell_length_a 6.267
_cell_length_b 6.268
_cell_length_c 9.583
_cell_angle_alpha 102.50
_cell_angle_beta 109.01
_cell_angle_gamma 99.68
_space_group_name_H-M_alt 'P 1'
_space_group_IT_number 1
_space_group_name_Hall 'P 1'
loop_
_atom_site_label
_atom_site_type_symbol
_atom_site_fract_x
_atom_site_fract_y
_atom_site_fract_z
_atom_site_occupancy
La1 La 0.000 0.000 0.000 1
Sm1 Sm 0.000 0.500 0.500 1
Sm2 Sm 0.202 0.602 0.202 1
Sm3 Sm 0.398 0.199 0.402 1
Sm4 Sm 0.399 0.698 0.899 1
Sm5 Sm 0.601 0.302 0.101 1
Sm6 Sm 0.602 0.801 0.598 1
Sm7 Sm 0.798 0.398 0.798 1
Ho1 Ho 0.201 0.099 0.698 1
Ho2 Ho 0.799 0.901 0.302 1
```


Record 6
Starting from a structure optimized by DFT (GGA-PBE), the powder diffractogram of LaSm8Ho6 was simulated for copper Kα.
Neutral-atom scattering factors, no anomalous dispersion.

Top 6 peaks for 15 to 90 degrees two-theta, most intense first:
Position (°2θ)  I_rel
31.23  100
32.04  31
30.34  29
36.59  13
32.36  13
34.68  12

Structure:
```
data_LaSm8Ho6
_cell_length_a 8.727
_cell_length_b 8.727
_cell_length_c 8.727
_cell_angle_alpha 62.78
_cell_angle_beta 62.78
_cell_angle_gamma 62.78
_space_group_name_H-M_alt 'P 1'
_space_group_IT_number 1
_space_group_name_Hall 'P 1'
loop_
_atom_site_label
_atom_site_type_symbol
_atom_site_fract_x
_atom_site_fract_y
_atom_site_fract_z
_atom_site_occupancy
La1 La 0.000 0.000 0.000 1
Sm1 Sm 0.113 0.750 0.717 1
Sm2 Sm 0.250 0.283 0.887 1
Sm3 Sm 0.283 0.887 0.250 1
Sm4 Sm 0.422 0.422 0.422 1
Sm5 Sm 0.578 0.578 0.578 1
Sm6 Sm 0.717 0.113 0.750 1
Sm7 Sm 0.750 0.717 0.113 1
Sm8 Sm 0.887 0.250 0.283 1
Ho1 Ho 0.098 0.248 0.534 1
Ho2 Ho 0.248 0.534 0.098 1
Ho3 Ho 0.466 0.902 0.752 1
Ho4 Ho 0.534 0.098 0.248 1
Ho5 Ho 0.752 0.466 0.902 1
Ho6 Ho 0.902 0.752 0.466 1
```


Record 7
Starting from a structure optimized by DFT (GGA-PBE), the powder diffractogram of LaSm3Ho7 was simulated for copper Kα.
Neutral-atom scattering factors, no anomalous dispersion.

Top 6 peaks for 15 to 90 degrees two-theta, most intense first:
Position (°2θ)  I_rel
31.64  100
32.23  71
32.82  55
31.88  50
62.90  27
31.31  25

Structure:
```
data_LaSm3Ho7
_cell_length_a 6.978
_cell_length_b 5.552
_cell_length_c 9.976
_cell_angle_alpha 90.00
_cell_angle_beta 109.58
_cell_angle_gamma 90.00
_space_group_name_H-M_alt 'P 1'
_space_group_IT_number 1
_space_group_name_Hall 'P 1'
loop_
_atom_site_label
_atom_site_type_symbol
_atom_site_fract_x
_atom_site_fract_y
_atom_site_fract_z
_atom_site_occupancy
La1 La 0.000 0.000 0.000 1
Sm1 Sm 0.281 0.500 0.498 1
Sm2 Sm 0.500 0.000 0.000 1
Sm3 Sm 0.719 0.500 0.502 1
Ho1 Ho 0.000 0.000 0.500 1
Ho2 Ho 0.145 0.500 0.788 1
Ho3 Ho 0.325 0.500 0.141 1
Ho4 Ho 0.422 0.000 0.331 1
Ho5 Ho 0.578 0.000 0.669 1
Ho6 Ho 0.675 0.500 0.859 1
Ho7 Ho 0.855 0.500 0.212 1
```


Record 8
Starting from a structure optimized by DFT (GGA-PBE), the powder diffractogram of La10Sm4Ho was simulated for copper Kα.
Neutral-atom scattering factors, no anomalous dispersion.

Top 6 peaks for 15 to 90 degrees two-theta, most intense first:
Position (°2θ)  I_rel
31.49  100
27.89  76
39.86  30
32.42  25
58.19  21
40.55  21

Structure:
```
data_La10Sm4Ho
_cell_length_a 9.008
_cell_length_b 9.008
_cell_length_c 9.008
_cell_angle_alpha 111.69
_cell_angle_beta 111.69
_cell_angle_gamma 105.12
_space_group_name_H-M_alt 'P 1'
_space_group_IT_number 1
_space_group_name_Hall 'P 1'
loop_
_atom_site_label
_atom_site_type_symbol
_atom_site_fract_x
_atom_site_fract_y
_atom_site_fract_z
_atom_site_occupancy
La1 La 0.051 0.404 0.122 1
La2 La 0.071 0.949 0.353 1
La3 La 0.250 0.750 0.500 1
La4 La 0.282 0.929 0.878 1
La5 La 0.404 0.282 0.353 1
La6 La 0.596 0.718 0.647 1
La7 La 0.718 0.071 0.122 1
La8 La 0.750 0.250 0.500 1
La9 La 0.929 0.051 0.647 1
La10 La 0.949 0.596 0.878 1
Sm1 Sm 0.229 0.439 0.668 1
Sm2 Sm 0.439 0.771 0.210 1
Sm3 Sm 0.561 0.229 0.790 1
Sm4 Sm 0.771 0.561 0.332 1
Ho1 Ho 0.000 0.000 0.000 1
```


Record 9
Starting from a structure optimized by DFT (GGA-PBE), the powder diffractogram of LaSm9Ho2 was simulated for copper Kα.
Neutral-atom scattering factors, no anomalous dispersion.

Top 6 peaks for 15 to 90 degrees two-theta, most intense first:
Position (°2θ)  I_rel
30.23  100
35.04  51
50.40  36
59.94  29
82.01  17
59.83  14

Structure:
```
data_LaSm9Ho2
_cell_length_a 5.118
_cell_length_b 5.118
_cell_length_c 15.386
_cell_angle_alpha 90.00
_cell_angle_beta 90.00
_cell_angle_gamma 90.00
_space_group_name_H-M_alt 'P 1'
_space_group_IT_number 1
_space_group_name_Hall 'P 1'
loop_
_atom_site_label
_atom_site_type_symbol
_atom_site_fract_x
_atom_site_fract_y
_atom_site_fract_z
_atom_site_occupancy
La1 La 0.000 0.000 0.000 1
Sm1 Sm 0.000 0.500 0.170 1
Sm2 Sm 0.000 0.500 0.500 1
Sm3 Sm 0.000 0.500 0.830 1
Sm4 Sm 0.500 0.000 0.170 1
Sm5 Sm 0.500 0.000 0.500 1
Sm6 Sm 0.500 0.000 0.830 1
Sm7 Sm 0.500 0.500 0.000 1
Sm8 Sm 0.500 0.500 0.336 1
Sm9 Sm 0.500 0.500 0.664 1
Ho1 Ho 0.000 0.000 0.335 1
Ho2 Ho 0.000 0.000 0.665 1
```


Record 10
Starting from a structure optimized by DFT (GGA-PBE), the powder diffractogram of LaSm8Ho5 was simulated for copper Kα.
Neutral-atom scattering factors, no anomalous dispersion.

Top 6 peaks for 15 to 90 degrees two-theta, most intense first:
Position (°2θ)  I_rel
33.23  100
29.55  69
29.31  64
27.32  50
34.92  46
34.30  36

Structure:
```
data_LaSm8Ho5
_cell_length_a 8.534
_cell_length_b 8.534
_cell_length_c 8.534
_cell_angle_alpha 111.88
_cell_angle_beta 111.88
_cell_angle_gamma 104.75
_space_group_name_H-M_alt 'P 1'
_space_group_IT_number 1
_space_group_name_Hall 'P 1'
loop_
_atom_site_label
_atom_site_type_symbol
_atom_site_fract_x
_atom_site_fract_y
_atom_site_fract_z
_atom_site_occupancy
La1 La 0.000 0.000 0.000 1
Sm1 Sm 0.088 0.678 0.763 1
Sm2 Sm 0.284 0.532 0.105 1
Sm3 Sm 0.322 0.085 0.410 1
Sm4 Sm 0.427 0.179 0.895 1
Sm5 Sm 0.468 0.573 0.752 1
Sm6 Sm 0.675 0.912 0.590 1
Sm7 Sm 0.821 0.716 0.248 1
Sm8 Sm 0.915 0.325 0.237 1
Ho1 Ho 0.027 0.209 0.594 1
Ho2 Ho 0.250 0.750 0.500 1
Ho3 Ho 0.567 0.973 0.182 1
Ho4 Ho 0.615 0.433 0.406 1
Ho5 Ho 0.791 0.385 0.818 1
```


Record 11
Starting from a structure optimized by DFT (GGA-PBE), the powder diffractogram of La8SmHo3 was simulated for copper Kα.
Neutral-atom scattering factors, no anomalous dispersion.

Top 6 peaks for 15 to 90 degrees two-theta, most intense first:
Position (°2θ)  I_rel
31.26  100
30.50  79
30.14  42
34.22  32
49.19  25
43.69  19

Structure:
```
data_La8SmHo3
_cell_length_a 8.802
_cell_length_b 8.802
_cell_length_c 8.802
_cell_angle_alpha 134.03
_cell_angle_beta 101.10
_cell_angle_gamma 96.45
_space_group_name_H-M_alt 'P 1'
_space_group_IT_number 1
_space_group_name_Hall 'P 1'
loop_
_atom_site_label
_atom_site_type_symbol
_atom_site_fract_x
_atom_site_fract_y
_atom_site_fract_z
_atom_site_occupancy
La1 La 0.085 0.248 0.837 1
La2 La 0.275 0.221 0.497 1
La3 La 0.275 0.779 0.054 1
La4 La 0.411 0.248 0.163 1
La5 La 0.589 0.752 0.837 1
La6 La 0.725 0.221 0.946 1
La7 La 0.725 0.779 0.503 1
La8 La 0.915 0.752 0.163 1
Sm1 Sm 0.500 0.500 0.000 1
Ho1 Ho 0.000 0.000 0.000 1
Ho2 Ho 0.266 0.766 0.500 1
Ho3 Ho 0.734 0.234 0.500 1
```


Record 12
Starting from a structure optimized by DFT (GGA-PBE), the powder diffractogram of La2Sm5Ho3 was simulated for copper Kα.
Neutral-atom scattering factors, no anomalous dispersion.

Top 6 peaks for 15 to 90 degrees two-theta, most intense first:
Position (°2θ)  I_rel
29.86  100
30.23  98
32.84  47
31.91  24
64.94  20
48.70  19

Structure:
```
data_La2Sm5Ho3
_cell_length_a 9.723
_cell_length_b 9.723
_cell_length_c 9.522
_cell_angle_alpha 108.66
_cell_angle_beta 108.66
_cell_angle_gamma 111.74
_space_group_name_H-M_alt 'P 1'
_space_group_IT_number 1
_space_group_name_Hall 'P 1'
loop_
_atom_site_label
_atom_site_type_symbol
_atom_site_fract_x
_atom_site_fract_y
_atom_site_fract_z
_atom_site_occupancy
La1 La 0.017 0.268 0.050 1
La2 La 0.268 0.017 0.550 1
La3 La 0.732 0.983 0.450 1
La4 La 0.983 0.732 0.950 1
Sm1 Sm 0.153 0.386 0.781 1
Sm2 Sm 0.230 0.770 0.750 1
Sm3 Sm 0.272 0.728 0.250 1
Sm4 Sm 0.386 0.153 0.281 1
Sm5 Sm 0.469 0.531 0.250 1
Sm6 Sm 0.531 0.469 0.750 1
Sm7 Sm 0.614 0.847 0.719 1
Sm8 Sm 0.728 0.272 0.750 1
Sm9 Sm 0.770 0.230 0.250 1
Sm10 Sm 0.847 0.614 0.219 1
Ho1 Ho 0.024 0.976 0.750 1
Ho2 Ho 0.222 0.463 0.455 1
Ho3 Ho 0.463 0.222 0.955 1
Ho4 Ho 0.537 0.778 0.045 1
Ho5 Ho 0.778 0.537 0.545 1
Ho6 Ho 0.976 0.024 0.250 1
```


Record 13
Starting from a structure optimized by DFT (GGA-PBE), the powder diffractogram of La5Sm8Ho was simulated for copper Kα.
Neutral-atom scattering factors, no anomalous dispersion.

Top 6 peaks for 15 to 90 degrees two-theta, most intense first:
Position (°2θ)  I_rel
30.59  100
30.36  54
31.75  46
32.25  44
29.41  40
40.57  16

Structure:
```
data_La5Sm8Ho
_cell_length_a 7.197
_cell_length_b 8.794
_cell_length_c 9.106
_cell_angle_alpha 114.37
_cell_angle_beta 101.47
_cell_angle_gamma 101.65
_space_group_name_H-M_alt 'P 1'
_space_group_IT_number 1
_space_group_name_Hall 'P 1'
loop_
_atom_site_label
_atom_site_type_symbol
_atom_site_fract_x
_atom_site_fract_y
_atom_site_fract_z
_atom_site_occupancy
La1 La 0.000 0.000 0.000 1
La2 La 0.028 0.833 0.281 1
La3 La 0.119 0.589 0.864 1
La4 La 0.329 0.714 0.569 1
La5 La 0.638 0.416 0.138 1
Sm1 Sm 0.145 0.422 0.143 1
Sm2 Sm 0.219 0.148 0.725 1
Sm3 Sm 0.424 0.265 0.418 1
Sm4 Sm 0.503 0.997 0.002 1
Sm5 Sm 0.612 0.587 0.861 1
Sm6 Sm 0.723 0.152 0.724 1
Sm7 Sm 0.822 0.708 0.568 1
Sm8 Sm 0.923 0.270 0.416 1
Ho1 Ho 0.531 0.833 0.281 1
```